Diffraction record for MgCrSF5. The powder diffractogram is computed, not measured: it uses DFT lattice parameters and positions (PBE+U) and Cu Kα (weighted mean of Kα1 and Kα2).
Intensities are scaled so that the largest is 100.

Peak list (10 most intense, 10 to 90 degrees two-theta, low angle first)
d/Å  2θ (°)  I/Imax
6.126  14.46  27.7
5.875  15.08  76.5
5.083  17.45  46.0
3.796  23.44  100.0
3.609  24.67  37.4
3.330  26.77  26.7
3.234  27.58  37.8
2.796  32.01  21.4
2.508  35.80  28.6
2.179  41.44  23.4

Structural model:
```
data_MgCrSF5
_space_group_name_H-M_alt 'P 1'
_space_group_IT_number 1
_space_group_name_Hall 'P 1'
_cell_length_a 5.648
_cell_length_b 7.162
_cell_length_c 7.609
_cell_angle_alpha 106.06
_cell_angle_beta 106.10
_cell_angle_gamma 110.12
loop_
_atom_site_label
_atom_site_fract_x
_atom_site_fract_y
_atom_site_fract_z
_atom_site_occupancy
Mg1 0.000 0.000 0.000 1
Mg2 0.122 0.566 0.772 1
Cr1 0.064 0.769 0.379 1
Cr2 0.561 0.273 0.876 1
S1 0.521 0.881 0.346 1
S2 0.617 0.664 0.400 1
F1 0.019 0.954 0.238 1
F2 0.124 0.591 0.522 1
F3 0.249 0.029 0.634 1
F4 0.339 0.217 0.029 1
F5 0.359 0.795 0.072 1
F6 0.402 0.461 0.815 1
F7 0.704 0.074 0.932 1
F8 0.792 0.318 0.728 1
F9 0.883 0.514 0.118 1
F10 0.932 0.746 0.796 1
```